TlCd5Hg12: simulated powder diffractogram (Cu Kα X-rays), based on a PBE-relaxed structure.
Kinematic intensities with the Lorentz-polarization factor, no thermal factor.

Cell and atoms:
Unit cell a=5.311 b=11.296 c=15.709 alpha=90.00 beta=90.15 gamma=90.00
Space group C2/m (No. 12)
Inequivalent atoms, fractional coordinates:
Tl 0.000 0.000 0.000
Cd 0.000 0.173 0.500
Cd 0.000 0.317 0.000
Cd 0.000 0.500 0.500
Hg 0.045 0.500 0.842
Hg 0.051 0.167 0.825
Hg 0.087 0.000 0.658
Hg 0.087 0.338 0.665

Principal peaks in the range 10° ≤ 2θ ≤ 80°, sorted by position:
2theta  intensity  index
31.26  18  1 3 -2
33.80  100  1 3 -3
33.86  81  1 3 3
34.25  64  0 0 6
48.35  17  0 6 0
48.92  10  2 0 6
58.81  15  3 3 -2
60.58  24  0 6 6
61.07  26  1 3 9
71.26  10  4 0 1

***

Tl8CdHg3: simulated powder diffractogram (Cu Kα X-rays), based on a PBE-relaxed structure.
Kinematic intensities with the Lorentz-polarization factor, no thermal factor.

Cell and atoms:
Unit cell a=10.3853 b=10.3853 c=12.0708 alpha=90.00 beta=90.00 gamma=120.00
Space group R-3m (No. 166, hexagonal axes)
Inequivalent atoms, fractional coordinates:
Tl 0.0000 0.0000 0.2215
Tl 0.0219 0.5109 0.7376
Cd 0.0000 0.0000 0.5000
Hg 0.0000 0.5000 0.0000

Principal peaks in the range 10° ≤ 2θ ≤ 80°, sorted by position:
2theta  intensity  index
21.08  14  0 2 1
24.69  31  2 0 2
27.25  13  2 1 1
28.06  25  1 1 3
34.55  100  2 2 0
35.84  82  0 2 4
37.41  15  3 0 3
50.63  29  4 0 4
61.90  17  6 0 0
62.74  29  2 4 4

***

Tl3Cd2Hg2: simulated powder diffractogram (Cu Kα X-rays), based on a PBE-relaxed structure.
Kinematic intensities with the Lorentz-polarization factor, no thermal factor.

Cell and atoms:
Unit cell a=4.630 b=24.039 c=3.460 alpha=90.00 beta=90.00 gamma=90.00
Space group Cmmm (No. 65)
Inequivalent atoms, fractional coordinates:
Tl 0.000 0.000 0.000
Tl 0.000 0.421 0.500
Cd 0.000 0.288 0.500
Hg 0.000 0.158 0.000

Principal peaks in the range 10° ≤ 2θ ≤ 80°, sorted by position:
2theta  intensity  index
26.73  10  1 5 0
32.49  100  1 7 0
34.24  41  0 6 1
38.90  19  2 0 0
52.78  21  2 6 1
52.93  7  0 0 2
60.16  13  1 13 1
63.48  14  1 7 2
66.42  13  3 7 0
67.60  8  2 0 2

***

TlCd3Hg8: simulated powder diffractogram (Cu Kα X-rays), based on a PBE-relaxed structure.
Kinematic intensities with the Lorentz-polarization factor, no thermal factor.

Cell and atoms:
Unit cell a=5.8580 b=5.8580 c=10.7187 alpha=90.00 beta=90.00 gamma=120.00
Space group P-31m (No. 162)
Inequivalent atoms, fractional coordinates:
Tl 0.0000 0.0000 0.0000
Cd 0.0000 0.0000 0.5000
Cd 0.3333 0.6667 0.5000
Hg 0.0000 0.3363 0.7454
Hg 0.3333 0.6667 0.0000

Principal peaks in the range 10° ≤ 2θ ≤ 80°, sorted by position:
2theta  intensity  index
31.67  62  1 1 1
33.44  36  0 0 4
34.91  100  2 -1 2
39.80  33  2 -1 3
52.93  15  1 1 5
54.24  28  3 0 0
60.73  20  2 -1 6
64.19  9  4 -2 1
65.24  32  3 0 4
66.15  16  2 2 2